[1]
For Dy4Cd3, a GGA-PBE-relaxed structure gives the theoretical powder XRD pattern in this record (a wavelength of 1.5418 Å).

Crystal structure
Cell: 8.4738 8.4738 8.4738 Å, 113.70 113.70 113.70°
Positions (direct):
Dy1 0.0000 0.0000 0.0000
Dy2 0.0766 0.6332 0.7796
Dy3 0.2204 0.9234 0.3668
Dy4 0.3668 0.2204 0.9234
Dy5 0.5000 0.5000 0.5000
Dy6 0.6332 0.7796 0.0766
Dy7 0.7796 0.0766 0.6332
Dy8 0.9234 0.3668 0.2204
Cd1 0.1385 0.2713 0.5486
Cd2 0.2713 0.5486 0.1385
Cd3 0.4514 0.8615 0.7287
Cd4 0.5486 0.1385 0.2713
Cd5 0.7287 0.4514 0.8615
Cd6 0.8615 0.7287 0.4514

Top 12 peaks for 10 to 90 degrees two-theta, in order of rising 2θ:
- 2θ = 23.54°, I = 5
- 2θ = 33.42°, I = 100
- 2θ = 33.66°, I = 100
- 2θ = 48.16°, I = 35
- 2θ = 59.73°, I = 17
- 2θ = 59.89°, I = 35
- 2θ = 60.36°, I = 18
- 2θ = 70.20°, I = 10
- 2θ = 70.77°, I = 11
- 2θ = 80.15°, I = 14
- 2θ = 80.56°, I = 14
- 2θ = 89.67°, I = 5

---

[2]
For Dy6Cd5, a GGA-PBE-relaxed structure gives the theoretical powder XRD pattern in this record (a wavelength of 1.5418 Å).

Crystal structure
Cell: 8.1884 8.1884 7.5398 Å, 90.00 90.00 142.97°
Positions (direct):
Dy1 0.0000 0.0000 0.2432
Dy2 0.0000 0.0000 0.7568
Dy3 0.3391 0.6609 0.2452
Dy4 0.3391 0.6609 0.7548
Dy5 0.6609 0.3391 0.2452
Dy6 0.6609 0.3391 0.7548
Cd1 0.1691 0.8309 0.5000
Cd2 0.1723 0.8277 0.0000
Cd3 0.5000 0.5000 0.5000
Cd4 0.8277 0.1723 0.0000
Cd5 0.8309 0.1691 0.5000

Top 12 peaks for 10 to 90 degrees two-theta, in order of rising 2θ:
- 2θ = 24.26°, I = 7
- 2θ = 34.10°, I = 100
- 2θ = 34.50°, I = 24
- 2θ = 34.66°, I = 24
- 2θ = 48.28°, I = 9
- 2θ = 49.70°, I = 17
- 2θ = 60.68°, I = 9
- 2θ = 60.79°, I = 9
- 2θ = 61.55°, I = 18
- 2θ = 61.76°, I = 17
- 2θ = 71.81°, I = 11
- 2θ = 80.85°, I = 8

---

[3]
For Dy6Cd23, a GGA-PBE-relaxed structure gives the theoretical powder XRD pattern in this record (a wavelength of 1.5418 Å).

Crystal structure
Cell: 9.8920 9.8920 9.8920 Å, 60.00 60.00 60.00°
Positions (direct):
Dy1 0.2007 0.2007 0.7993
Dy2 0.2007 0.7993 0.2007
Dy3 0.2007 0.7993 0.7993
Dy4 0.7993 0.2007 0.2007
Dy5 0.7993 0.2007 0.7993
Dy6 0.7993 0.7993 0.2007
Cd1 0.0000 0.0000 0.5000
Cd2 0.0000 0.5000 0.0000
Cd3 0.0000 0.5000 0.5000
Cd4 0.1358 0.6214 0.6214
Cd5 0.1608 0.1608 0.1608
Cd6 0.1608 0.1608 0.5175
Cd7 0.1608 0.5175 0.1608
Cd8 0.3786 0.3786 0.3786
Cd9 0.3786 0.3786 0.8642
Cd10 0.3786 0.8642 0.3786
Cd11 0.4825 0.8392 0.8392
Cd12 0.5000 0.0000 0.0000
Cd13 0.5000 0.0000 0.5000
Cd14 0.5000 0.5000 0.0000
Cd15 0.5000 0.5000 0.5000
Cd16 0.5175 0.1608 0.1608
Cd17 0.6214 0.1358 0.6214
Cd18 0.6214 0.6214 0.1358
Cd19 0.6214 0.6214 0.6214
Cd20 0.8392 0.4825 0.8392
Cd21 0.8392 0.8392 0.4825
Cd22 0.8392 0.8392 0.8392
Cd23 0.8642 0.3786 0.3786

Top 12 peaks for 10 to 90 degrees two-theta, in order of rising 2θ:
- 2θ = 31.33°, I = 18
- 2θ = 33.28°, I = 57
- 2θ = 36.33°, I = 100
- 2θ = 38.05°, I = 11
- 2θ = 38.62°, I = 14
- 2θ = 50.08°, I = 13
- 2θ = 52.32°, I = 9
- 2θ = 55.76°, I = 14
- 2θ = 60.27°, I = 10
- 2θ = 65.36°, I = 12
- 2θ = 66.50°, I = 15
- 2θ = 69.51°, I = 10

---

[4]
For Dy4ErCd2, a GGA-PBE-relaxed structure gives the theoretical powder XRD pattern in this record (a wavelength of 1.5418 Å).

Crystal structure
Cell: 10.4962 10.4962 10.4962 Å, 28.20 28.20 28.20°
Positions (direct):
Dy1 0.1082 0.1082 0.1082
Dy2 0.2963 0.2963 0.2963
Dy3 0.7037 0.7037 0.7037
Dy4 0.8918 0.8918 0.8918
Er1 0.5000 0.5000 0.5000
Cd1 0.4000 0.4000 0.4000
Cd2 0.6000 0.6000 0.6000

Top 12 peaks for 10 to 90 degrees two-theta, in order of rising 2θ:
- 2θ = 20.27°, I = 14
- 2θ = 24.93°, I = 71
- 2θ = 35.10°, I = 100
- 2θ = 35.98°, I = 85
- 2θ = 43.53°, I = 16
- 2θ = 51.14°, I = 31
- 2θ = 57.09°, I = 15
- 2θ = 62.96°, I = 18
- 2θ = 63.54°, I = 32
- 2θ = 65.25°, I = 13
- 2θ = 74.17°, I = 11
- 2θ = 85.30°, I = 14

---

[5]
For Dy14ErCd, a GGA-PBE-relaxed structure gives the theoretical powder XRD pattern in this record (a wavelength of 1.5418 Å).

Crystal structure
Cell: 9.9676 7.0136 7.0136 Å, 89.98 90.00 90.00°
Positions (direct):
Dy1 0.0000 0.0000 0.0000
Dy2 0.0000 0.9997 0.5002
Dy3 0.0000 0.5002 0.9997
Dy4 0.0000 0.5001 0.5001
Dy5 0.2520 0.2494 0.2494
Dy6 0.2525 0.2499 0.7501
Dy7 0.2525 0.7501 0.2499
Dy8 0.2529 0.7505 0.7505
Dy9 0.5000 0.0010 0.4998
Dy10 0.5000 0.4998 0.0010
Dy11 0.7475 0.2499 0.7501
Dy12 0.7475 0.7501 0.2499
Dy13 0.7471 0.7505 0.7505
Dy14 0.7480 0.2494 0.2494
Er1 0.5000 0.0001 0.0001
Cd1 0.5000 0.5004 0.5004

Top 12 peaks for 10 to 90 degrees two-theta, in order of rising 2θ:
- 2θ = 31.19°, I = 100
- 2θ = 36.04°, I = 17
- 2θ = 36.23°, I = 34
- 2θ = 52.03°, I = 24
- 2θ = 52.17°, I = 12
- 2θ = 61.79°, I = 14
- 2θ = 62.04°, I = 28
- 2θ = 65.04°, I = 12
- 2θ = 85.07°, I = 12
- 2θ = 85.28°, I = 6
- 2θ = 87.65°, I = 6
- 2θ = 87.98°, I = 6

---

[6]
For DyEr5Cd6, a GGA-PBE-relaxed structure gives the theoretical powder XRD pattern in this record (a wavelength of 1.5418 Å).

Crystal structure
Cell: 5.2470 7.4454 8.3100 Å, 90.00 108.22 90.00°
Positions (direct):
Dy1 0.0000 0.0000 0.0000
Er1 0.0000 0.5000 0.0000
Er2 0.3328 0.0000 0.6656
Er3 0.3341 0.5000 0.6680
Er4 0.6659 0.5000 0.3320
Er5 0.6672 0.0000 0.3344
Cd1 0.1671 0.2515 0.3344
Cd2 0.1671 0.7485 0.3344
Cd3 0.5000 0.2508 0.0000
Cd4 0.5000 0.7492 0.0000
Cd5 0.8329 0.2515 0.6656
Cd6 0.8329 0.7485 0.6656

Top 12 peaks for 10 to 90 degrees two-theta, in order of rising 2θ:
- 2θ = 23.93°, I = 4
- 2θ = 34.09°, I = 100
- 2θ = 34.18°, I = 20
- 2θ = 48.94°, I = 14
- 2θ = 49.12°, I = 7
- 2θ = 60.99°, I = 22
- 2θ = 61.07°, I = 15
- 2θ = 61.19°, I = 7
- 2θ = 71.73°, I = 7
- 2θ = 71.85°, I = 4
- 2θ = 81.83°, I = 11
- 2θ = 82.16°, I = 5